The following is a simulated XRD peak list of Y2MnF8. It was derived from DFT lattice parameters and positions (GGA+U), using Cu Ka.
No peak broadening, texture or thermal motion is included.

Main lines, sorted by position (2θ = 15–90°):
| 2θ/deg | I/Imax |
| --- | --- |
| 24.89 | 100 |
| 25.72 | 83 |
| 29.69 | 84 |
| 31.27 | 72 |
| 45.81 | 57 |
| 46.79 | 67 |

Atomic structure:
Cell: 7.6175 7.6175 5.3883 Å, 108.90 108.90 27.56°
Fractional coordinates of all 11 atoms:
1 Y 0.1747 0.1747 0.1841
2 Y 0.8253 0.8253 0.8159
3 Mn 0.5000 0.5000 0.5000
4 F 0.0438 0.0438 0.3260
5 F 0.2204 0.2204 0.8277
6 F 0.3207 0.3207 0.5383
7 F 0.4062 0.4062 0.0701
8 F 0.5938 0.5938 0.9299
9 F 0.6793 0.6793 0.4617
10 F 0.7796 0.7796 0.1723
11 F 0.9562 0.9562 0.6740